Starting from a cell relaxed with PBE, the powder X-ray diffraction pattern of SnBi3Au was simulated for a wavelength of 1.5418 Å.
Neutral-atom scattering factors, no anomalous dispersion.

Peak list (12 most intense, 10 to 80 degrees two-theta, sorted by position)
27.2°, d 3.280, intensity 41
27.8°, d 3.211, intensity 52
28.7°, d 3.115, intensity 100
29.5°, d 3.026, intensity 51
30.5°, d 2.927, intensity 70
31.1°, d 2.877, intensity 87
33.1°, d 2.709, intensity 76
37.6°, d 2.390, intensity 57
38.8°, d 2.324, intensity 40
40.4°, d 2.235, intensity 40
40.8°, d 2.210, intensity 62
42.3°, d 2.138, intensity 40

Structure:
Cell: 7.469 7.469 12.710 Å, 102.30 102.30 60.52°
Fractional positions:
Sn (0.015, 0.206, 0.153)
Sn (0.206, 0.015, 0.653)
Sn (0.794, 0.985, 0.347)
Sn (0.985, 0.794, 0.847)
Bi (0.118, 0.312, 0.896)
Bi (0.263, 0.647, 0.455)
Bi (0.305, 0.399, 0.709)
Bi (0.312, 0.118, 0.396)
Bi (0.353, 0.737, 0.045)
Bi (0.399, 0.305, 0.209)
Bi (0.601, 0.695, 0.791)
Bi (0.647, 0.263, 0.955)
Bi (0.688, 0.882, 0.604)
Bi (0.695, 0.601, 0.291)
Bi (0.737, 0.353, 0.545)
Bi (0.882, 0.688, 0.104)
Au (0.000, 0.500, 0.500)
Au (0.174, 0.826, 0.250)
Au (0.500, 0.000, 0.000)
Au (0.826, 0.174, 0.750)